No. 1
Starting from a crystal structure in Alexandria, relaxed with GGA-PBE, the powder XRD pattern of LaEr5P6 was simulated for a wavelength of 1.5418 Å.

Principal peaks in the range 10° ≤ 2θ ≤ 90°, by intensity:
| Position (°2θ) | Rel. int. |
| --- | --- |
| 31.45 | 100 |
| 27.15 | 88 |
| 45.07 | 73 |
| 53.41 | 43 |
| 74.60 | 33 |
| 55.99 | 26 |

Structural model:
a = 6.9682 Å, b = 6.9682 Å, c = 6.9673 Å
α = 99.62°, β = 99.62°, γ = 119.98°
Fractional coordinates of all 12 atoms:
La: 0.0000 0.0000 0.0000
Er: 0.1651 0.8349 0.5000
Er: 0.3328 0.6672 0.0000
Er: 0.5000 0.5000 0.5000
Er: 0.6672 0.3328 0.0000
Er: 0.8349 0.1651 0.5000
P: 0.0853 0.4273 0.2557
P: 0.2572 0.2572 0.7453
P: 0.4273 0.0853 0.2557
P: 0.5727 0.9147 0.7443
P: 0.7428 0.7428 0.2547
P: 0.9147 0.5727 0.7443

=====

No. 2
Starting from a crystal structure in Alexandria, relaxed with GGA-PBE, the powder XRD pattern of LaPmEr2P4 was simulated for a wavelength of 1.5418 Å.

Principal peaks in the range 10° ≤ 2θ ≤ 90°, by intensity:
| Position (°2θ) | Rel. int. |
| --- | --- |
| 30.94 | 100 |
| 26.71 | 84 |
| 44.32 | 73 |
| 52.51 | 42 |
| 73.23 | 33 |
| 55.03 | 26 |

Structural model:
a = 7.0726 Å, b = 4.0896 Å, c = 7.0813 Å
α = 90.00°, β = 109.46°, γ = 90.00°
Fractional coordinates of all 8 atoms:
La: 0.0000 0.0000 0.0000
Pm: 0.0000 0.5000 0.5000
Er: 0.5000 0.0000 0.5000
Er: 0.5000 0.5000 0.0000
P: 0.2619 0.0000 0.7513
P: 0.2642 0.5000 0.2576
P: 0.7358 0.5000 0.7424
P: 0.7381 0.0000 0.2487

=====

No. 3
Starting from a crystal structure in Alexandria, relaxed with GGA-PBE, the powder XRD pattern of LaErP2S8 was simulated for a wavelength of 1.5418 Å.

Principal peaks in the range 10° ≤ 2θ ≤ 90°, by intensity:
| Position (°2θ) | Rel. int. |
| --- | --- |
| 15.51 | 100 |
| 34.26 | 55 |
| 25.93 | 53 |
| 27.04 | 48 |
| 37.81 | 46 |
| 18.64 | 29 |

Structural model:
a = 6.5963 Å, b = 6.5963 Å, c = 8.6034 Å
α = 90.00°, β = 90.00°, γ = 120.00°
Fractional coordinates of all 12 atoms:
La: 0.0000 0.0000 0.0000
Er: 0.0000 0.0000 0.5000
P: 0.3333 0.6667 0.1945
P: 0.6667 0.3333 0.8055
S: 0.1633 0.3266 0.2751
S: 0.1633 0.8367 0.2751
S: 0.3266 0.1633 0.7249
S: 0.3333 0.6667 0.9643
S: 0.6667 0.3333 0.0357
S: 0.6734 0.8367 0.2751
S: 0.8367 0.1633 0.7249
S: 0.8367 0.6734 0.7249

=====

No. 4
Starting from a crystal structure in Alexandria, relaxed with GGA-PBE, the powder XRD pattern of LaErPSe was simulated for a wavelength of 1.5418 Å.

Principal peaks in the range 10° ≤ 2θ ≤ 90°, by intensity:
| Position (°2θ) | Rel. int. |
| --- | --- |
| 30.46 | 100 |
| 44.00 | 37 |
| 43.22 | 35 |
| 26.45 | 31 |
| 54.45 | 19 |
| 72.50 | 16 |

Structural model:
a = 4.1159 Å, b = 4.1159 Å, c = 20.6883 Å
α = 90.00°, β = 90.00°, γ = 120.00°
Fractional coordinates of all 12 atoms:
La: 0.0000 0.0000 0.0000
La: 0.3333 0.6667 0.6667
La: 0.6667 0.3333 0.3333
Er: 0.0000 0.0000 0.5131
Er: 0.3333 0.6667 0.1798
Er: 0.6667 0.3333 0.8465
P: 0.0000 0.0000 0.2502
P: 0.3333 0.6667 0.9169
P: 0.6667 0.3333 0.5835
Se: 0.0000 0.0000 0.7626
Se: 0.3333 0.6667 0.4293
Se: 0.6667 0.3333 0.0960

=====

No. 5
Starting from a crystal structure in Alexandria, relaxed with GGA-PBE, the powder XRD pattern of La2ErPb was simulated for a wavelength of 1.5418 Å.

Principal peaks in the range 10° ≤ 2θ ≤ 90°, by intensity:
| Position (°2θ) | Rel. int. |
| --- | --- |
| 33.84 | 100 |
| 32.71 | 82 |
| 29.22 | 78 |
| 52.16 | 37 |
| 31.61 | 31 |
| 53.27 | 28 |

Structural model:
a = 6.8850 Å, b = 9.0308 Å, c = 8.3040 Å
α = 90.00°, β = 90.00°, γ = 90.00°
Fractional coordinates of all 16 atoms:
La: 0.2500 0.0495 0.2500
La: 0.2500 0.4505 0.2500
La: 0.2500 0.5495 0.7500
La: 0.2500 0.9505 0.7500
La: 0.7500 0.0495 0.2500
La: 0.7500 0.4505 0.2500
La: 0.7500 0.5495 0.7500
La: 0.7500 0.9505 0.7500
Er: 0.0000 0.2500 0.5653
Er: 0.0000 0.7500 0.4347
Er: 0.5000 0.2500 0.9347
Er: 0.5000 0.7500 0.0653
Pb: 0.0000 0.2500 0.9500
Pb: 0.0000 0.7500 0.0500
Pb: 0.5000 0.2500 0.5500
Pb: 0.5000 0.7500 0.4500

=====

No. 6
Starting from a crystal structure in Alexandria, relaxed with GGA-PBE, the powder XRD pattern of La3Er4Pb4 was simulated for a wavelength of 1.5418 Å.

Principal peaks in the range 10° ≤ 2θ ≤ 90°, by intensity:
| Position (°2θ) | Rel. int. |
| --- | --- |
| 29.93 | 100 |
| 33.97 | 85 |
| 28.62 | 51 |
| 35.06 | 48 |
| 57.06 | 39 |
| 45.87 | 37 |

Structural model:
a = 17.2511 Å, b = 17.2511 Å, c = 17.2511 Å
α = 166.42°, β = 162.93°, γ = 21.88°
Fractional coordinates of all 11 atoms:
La: 0.0000 0.0000 0.0000
La: 0.3542 0.8542 0.5000
La: 0.6458 0.1458 0.5000
Er: 0.0948 0.5948 0.5000
Er: 0.2610 0.2610 0.0000
Er: 0.7390 0.7390 0.0000
Er: 0.9052 0.4052 0.5000
Pb: 0.1852 0.6852 0.5000
Pb: 0.4523 0.4523 0.0000
Pb: 0.5477 0.5477 0.0000
Pb: 0.8148 0.3148 0.5000